This entry pairs a crystal structure of Cr2FeNi6 with its theoretical powder XRD pattern. Radiation: Cu Kα (λ = 1.5418 Å). Structure: the GGA-PBE geometry in Alexandria.

Cell and atoms:
a b c (Å): 4.187 7.691 12.575
angles (deg): 90.00 90.00 90.00
Space group Fmmm (No. 69)
Asymmetric unit:
Cr1 0.000 0.000 0.168 x8
Fe1 0.000 0.000 0.500 x4
Ni1 0.000 0.162 0.000 x8
Ni2 0.000 0.165 0.333 x16

Largest 7 diffraction maxima, low angle first, 10° ≤ 2θ ≤ 90°:
- hkl 1 1 3, 32.39°, intensity 1.1
- hkl 2 0 0, 43.19°, intensity 64.6
- hkl 1 3 3, 46.87°, intensity 100.0
- hkl 2 0 6, 62.73°, intensity 19.4
- hkl 0 6 0, 73.94°, intensity 5.7
- hkl 3 3 3, 81.85°, intensity 33.9
- hkl 2 6 0, 89.67°, intensity 13.5